# Na2ZnC
Calculated XRD peak list, CuKα. Input: the PBE geometry in OQMD.
Intensities are scaled so that the largest is 100.

Largest 10 diffraction maxima, most intense first, 15° ≤ 2θ ≤ 90°:
17.49 deg, 5.072 Å, rel. 100, hkl 1 0 0
33.38 deg, 2.684 Å, rel. 68, hkl 1 0 2
34.77 deg, 2.580 Å, rel. 50, hkl 1 2 0
35.40 deg, 2.536 Å, rel. 40, hkl 2 0 0
45.36 deg, 1.999 Å, rel. 40, hkl 1 2 2
41.50 deg, 2.176 Å, rel. 39, hkl 0 2 2
55.66 deg, 1.651 Å, rel. 30, hkl 2 2 2
36.69 deg, 2.450 Å, rel. 28, hkl 1 1 2
29.81 deg, 2.997 Å, rel. 24, hkl 0 2 0
22.97 deg, 3.872 Å, rel. 22, hkl 1 1 0

Unit cell a=5.072 b=5.995 c=6.326 alpha=90.00 beta=90.00 gamma=90.00
Space group P222_1 (No. 17)
Inequivalent atoms, fractional coordinates:
Na: 0.000 0.159 0.250
Na: 0.466 0.500 0.500
Zn: 0.497 0.000 0.000
C: 0.500 0.185 0.250